Starting from a GGA-PBE-relaxed structure, the powder XRD pattern of K3Hg8Au3 was simulated for λ = 1.5418 Å (Cu Kα).

The 10 most intense peaks (2θ from 5° to 70°), by angle:
17.28°, d 5.133, rel. 48, hkl 2 0 -2; 19.35°, d 4.586, rel. 54, hkl 1 1 -1; 30.46°, d 2.934, rel. 48, hkl 1 1 2; 30.81°, d 2.903, rel. 56, hkl 5 1 -2; 33.60°, d 2.667, rel. 47, hkl 1 1 -3; 35.01°, d 2.563, rel. 100, hkl 0 2 0; 36.58°, d 2.457, rel. 58, hkl 6 0 0; 39.79°, d 2.266, rel. 100, hkl 1 1 3; 40.30°, d 2.238, rel. 59, hkl 7 1 -3; 51.53°, d 1.774, rel. 42, hkl 6 2 0

Atomic structure:
Cell lengths 17.8301, 5.1261, 10.2674 Å; angles 90.00, 124.23, 90.00 degrees
Space group C2/m (No. 12)
Asymmetric unit:
K (0.0000, 0.0000, 0.0000) (multiplicity 2)
K (0.2100, 0.5000, 0.7040) (multiplicity 4)
Hg (0.0012, 0.5000, 0.3347) (multiplicity 4)
Hg (0.1384, 0.0000, 0.8434) (multiplicity 4)
Hg (0.1477, 0.0000, 0.4360) (multiplicity 4)
Hg (0.1544, 0.5000, 0.0256) (multiplicity 4)
Au (0.0000, 0.0000, 0.5000) (multiplicity 2)
Au (0.1530, 0.5000, 0.2999) (multiplicity 4)

---

Starting from a GGA-PBE-relaxed structure, the powder XRD pattern of KHg14Au was simulated for λ = 1.5418 Å (Cu Kα).

The 10 most intense peaks (2θ from 5° to 70°), by angle:
30.33°, d 2.947, rel. 54, hkl 0 2 2; 31.09°, d 2.877, rel. 80, hkl 2 0 4; 35.41°, d 2.535, rel. 100, hkl 2 2 2; 36.14°, d 2.485, rel. 33, hkl 4 0 0; 47.88°, d 1.900, rel. 18, hkl 4 2 2; 56.77°, d 1.622, rel. 16, hkl 0 4 0; 61.34°, d 1.511, rel. 15, hkl 4 2 6; 64.53°, d 1.444, rel. 14, hkl 6 2 2; 66.14°, d 1.413, rel. 22, hkl 2 4 4; 69.19°, d 1.358, rel. 16, hkl 4 4 0

Atomic structure:
Cell lengths 9.9406, 6.4865, 14.1120 Å; angles 90.00, 90.00, 90.00 degrees
Space group Amm2 (No. 38)
Asymmetric unit:
K (0.0000, 0.0000, 0.0000) (multiplicity 2)
Hg (0.0000, 0.2449, 0.7406) (multiplicity 4)
Hg (0.1854, 0.0000, 0.5884) (multiplicity 4)
Hg (0.2614, 0.0000, 0.1538) (multiplicity 4)
Hg (0.2655, 0.2485, 0.3847) (multiplicity 8)
Hg (0.5000, 0.0000, 0.0018) (multiplicity 2)
Hg (0.5000, 0.0000, 0.5277) (multiplicity 2)
Hg (0.5000, 0.2355, 0.7369) (multiplicity 4)
Au (0.0000, 0.0000, 0.4186) (multiplicity 2)

---

Starting from a GGA-PBE-relaxed structure, the powder XRD pattern of K2Hg2Au was simulated for λ = 1.5418 Å (Cu Kα).

The 10 most intense peaks (2θ from 5° to 70°), by angle:
12.32°, d 7.186, rel. 37, hkl 0 0 4; 17.97°, d 4.936, rel. 63, hkl 1 0 1; 23.55°, d 3.777, rel. 100, hkl 1 0 5; 31.40°, d 2.849, rel. 95, hkl 1 1 6; 35.84°, d 2.505, rel. 60, hkl 2 0 0; 40.40°, d 2.233, rel. 76, hkl 1 1 10; 43.34°, d 2.088, rel. 43, hkl 2 1 5; 51.59°, d 1.772, rel. 21, hkl 2 2 0; 61.65°, d 1.504, rel. 27, hkl 3 1 6; 67.49°, d 1.388, rel. 30, hkl 3 1 10

Atomic structure:
Cell lengths 5.0109, 5.0109, 28.7446 Å; angles 90.00, 90.00, 90.00 degrees
Space group I4_1/amd (No. 141, origin choice 2)
Asymmetric unit:
K (0.0000, 0.2500, 0.0525) (multiplicity 8)
Hg (0.0000, 0.2500, 0.1834) (multiplicity 8)
Au (0.0000, 0.2500, 0.3750) (multiplicity 4)

---

Starting from a GGA-PBE-relaxed structure, the powder XRD pattern of K12HgAu5 was simulated for λ = 1.5418 Å (Cu Kα).

The 10 most intense peaks (2θ from 5° to 70°), by angle:
14.39°, d 6.156, rel. 65, hkl 0 0 2; 16.34°, d 5.423, rel. 100, hkl 2 0 0; 26.98°, d 3.305, rel. 49, hkl 2 2 2; 28.39°, d 3.144, rel. 49, hkl 2 1 3; 28.95°, d 3.084, rel. 83, hkl 1 3 2; 29.73°, d 3.005, rel. 60, hkl 2 3 1; 33.03°, d 2.712, rel. 58, hkl 4 0 0; 37.42°, d 2.403, rel. 47, hkl 1 0 5; 38.65°, d 2.330, rel. 50, hkl 1 3 4; 50.75°, d 1.799, rel. 49, hkl 1 5 4

Atomic structure:
Cell lengths 10.8466, 11.3251, 12.3123 Å; angles 90.00, 90.00, 90.00 degrees
Space group Immm (No. 71)
Asymmetric unit:
K (0.0000, 0.1961, 0.2293) (multiplicity 8)
K (0.1936, 0.5000, 0.1698) (multiplicity 8)
K (0.2225, 0.3248, 0.5000) (multiplicity 8)
Hg (0.0000, 0.0000, 0.5000) (multiplicity 2)
Au (0.0000, 0.0000, 0.0000) (multiplicity 2)
Au (0.0000, 0.3621, 0.0000) (multiplicity 4)
Au (0.0000, 0.5000, 0.3839) (multiplicity 4)

---

Starting from a GGA-PBE-relaxed structure, the powder XRD pattern of K2Hg4Au was simulated for λ = 1.5418 Å (Cu Kα).

The 10 most intense peaks (2θ from 5° to 70°), by angle:
9.99°, d 8.858, rel. 97, hkl 0 0 2; 17.10°, d 5.186, rel. 97, hkl 1 0 1; 25.31°, d 3.519, rel. 57, hkl 1 1 2; 30.13°, d 2.966, rel. 38, hkl 1 0 5; 30.27°, d 2.953, rel. 58, hkl 0 0 6; 30.84°, d 2.899, rel. 49, hkl 1 1 4; 33.03°, d 2.712, rel. 100, hkl 2 0 0; 45.41°, d 1.997, rel. 77, hkl 2 0 6; 47.41°, d 1.917, rel. 44, hkl 2 2 0; 57.28°, d 1.608, rel. 54, hkl 2 2 6

Atomic structure:
Cell lengths 5.4234, 5.4234, 17.7160 Å; angles 90.00, 90.00, 90.00 degrees
Space group I4/mmm (No. 139)
Asymmetric unit:
K (0.0000, 0.0000, 0.1390) (multiplicity 4)
Hg (0.0000, 0.0000, 0.3342) (multiplicity 4)
Hg (0.0000, 0.5000, 0.0000) (multiplicity 4)
Au (0.0000, 0.0000, 0.5000) (multiplicity 2)

---

Starting from a GGA-PBE-relaxed structure, the powder XRD pattern of K3Hg2Au was simulated for λ = 1.5418 Å (Cu Kα).

The 10 most intense peaks (2θ from 5° to 70°), by angle:
14.41°, d 6.145, rel. 58, hkl 2 0 1; 14.57°, d 6.081, rel. 54, hkl 1 0 2; 18.36°, d 4.832, rel. 68, hkl 2 0 2; 20.33°, d 4.368, rel. 100, hkl 1 1 1; 20.69°, d 4.293, rel. 73, hkl 1 0 3; 26.85°, d 3.321, rel. 53, hkl 0 1 3; 29.74°, d 3.004, rel. 66, hkl 3 1 2; 32.44°, d 2.760, rel. 58, hkl 4 1 1; 34.73°, d 2.583, rel. 57, hkl 2 1 4; 36.69°, d 2.449, rel. 52, hkl 0 2 0

Atomic structure:
Cell lengths 13.7885, 4.8982, 13.5511 Å; angles 90.00, 90.00, 90.00 degrees
Space group Pnma (No. 62)
Asymmetric unit:
K (0.0524, 0.2500, 0.1262) (multiplicity 4)
K (0.1152, 0.7500, 0.5564) (multiplicity 4)
K (0.2171, 0.2500, 0.7925) (multiplicity 4)
Hg (0.0247, 0.7500, 0.3120) (multiplicity 4)
Hg (0.1938, 0.7500, 0.9918) (multiplicity 4)
Au (0.1287, 0.2500, 0.3746) (multiplicity 4)

---

Starting from a GGA-PBE-relaxed structure, the powder XRD pattern of K4Hg5Au was simulated for λ = 1.5418 Å (Cu Kα).

The 10 most intense peaks (2θ from 5° to 70°), by angle:
12.37°, d 7.157, rel. 100, hkl 1 1 0; 15.19°, d 5.832, rel. 38, hkl 1 0 1; 23.27°, d 3.822, rel. 45, hkl 1 2 1; 27.88°, d 3.200, rel. 63, hkl 3 1 0; 34.33°, d 2.612, rel. 44, hkl 2 3 1; 35.52°, d 2.527, rel. 55, hkl 2 2 2; 37.75°, d 2.383, rel. 75, hkl 1 3 2; 38.89°, d 2.316, rel. 26, hkl 1 0 3; 39.83°, d 2.263, rel. 28, hkl 4 2 0; 63.01°, d 1.475, rel. 24, hkl 5 2 3

Atomic structure:
Cell lengths 10.1220, 10.1220, 7.1360 Å; angles 90.00, 90.00, 90.00 degrees
Space group I4 (No. 79)
Asymmetric unit:
K (0.0642, 0.6997, 0.0000) (multiplicity 8)
Hg (0.0000, 0.0000, 0.2045) (multiplicity 2)
Hg (0.0769, 0.7856, 0.5148) (multiplicity 8)
Au (0.0000, 0.0000, 0.7980) (multiplicity 2)

---

Starting from a GGA-PBE-relaxed structure, the powder XRD pattern of K2Hg4Au3 was simulated for λ = 1.5418 Å (Cu Kα).

The 10 most intense peaks (2θ from 5° to 70°), by angle:
17.93°, d 4.948, rel. 25, hkl 0 2 0; 18.53°, d 4.788, rel. 50, hkl 1 1 1; 32.71°, d 2.738, rel. 54, hkl 2 0 2; 32.83°, d 2.728, rel. 52, hkl 0 0 6; 35.36°, d 2.539, rel. 100, hkl 1 3 3; 37.59°, d 2.393, rel. 61, hkl 2 2 2; 38.00°, d 2.368, rel. 42, hkl 0 4 2; 42.32°, d 2.136, rel. 24, hkl 2 2 4; 42.70°, d 2.117, rel. 19, hkl 0 4 4; 57.77°, d 1.596, rel. 25, hkl 3 3 3

Atomic structure:
Cell lengths 5.8047, 9.8953, 16.3688 Å; angles 90.00, 90.00, 90.00 degrees
Space group Fmmm (No. 69)
Asymmetric unit:
K (0.0000, 0.0000, 0.1197) (multiplicity 8)
Hg (0.0000, 0.1612, 0.3287) (multiplicity 16)
Au (0.0000, 0.0000, 0.5000) (multiplicity 4)
Au (0.2500, 0.2500, 0.0000) (multiplicity 8)

---

Starting from a GGA-PBE-relaxed structure, the powder XRD pattern of K3HgAu8 was simulated for λ = 1.5418 Å (Cu Kα).

The 10 most intense peaks (2θ from 5° to 70°), by angle:
18.66°, d 4.755, rel. 24, hkl 0 0 6; 18.92°, d 4.690, rel. 75, hkl 0 1 2; 36.31°, d 2.474, rel. 49, hkl 1 0 10; 36.60°, d 2.456, rel. 97, hkl 1 1 6; 36.74°, d 2.446, rel. 47, hkl 2 0 2; 37.84°, d 2.378, rel. 36, hkl 0 0 12; 38.38°, d 2.345, rel. 100, hkl 0 2 4; 44.46°, d 2.038, rel. 43, hkl 2 0 8; 64.31°, d 1.448, rel. 32, hkl 0 2 16; 65.06°, d 1.434, rel. 31, hkl 2 2 0

Atomic structure:
Cell lengths 5.7349, 5.7349, 28.5307 Å; angles 90.00, 90.00, 120.00 degrees
Space group R3m (No. 160, hexagonal axes)
Asymmetric unit:
K (0.0000, 0.0000, 0.0000) (multiplicity 3)
K (0.0000, 0.0000, 0.1269) (multiplicity 3)
K (0.0000, 0.0000, 0.5041) (multiplicity 3)
Hg (0.0000, 0.0000, 0.6287) (multiplicity 3)
Au (0.0000, 0.0000, 0.3144) (multiplicity 3)
Au (0.0000, 0.0000, 0.8145) (multiplicity 3)
Au (0.1670, 0.3341, 0.3975) (multiplicity 9)
Au (0.1670, 0.3339, 0.8980) (multiplicity 9)

---

Starting from a GGA-PBE-relaxed structure, the powder XRD pattern of K2HgAu2 was simulated for λ = 1.5418 Å (Cu Kα).

The 10 most intense peaks (2θ from 5° to 70°), by angle:
15.89°, d 5.576, rel. 100, hkl 1 1 0; 20.12°, d 4.413, rel. 87, hkl 1 1 1; 29.54°, d 3.024, rel. 27, hkl 2 0 2; 29.69°, d 3.009, rel. 25, hkl 0 2 1; 31.76°, d 2.818, rel. 59, hkl 3 1 -2; 34.44°, d 2.604, rel. 36, hkl 1 1 -3; 34.65°, d 2.589, rel. 40, hkl 4 0 -2; 35.05°, d 2.560, rel. 72, hkl 2 2 1; 38.58°, d 2.334, rel. 37, hkl 3 1 2; 43.34°, d 2.088, rel. 31, hkl 2 2 -3

Atomic structure:
Cell lengths 11.3785, 6.4530, 8.5431 Å; angles 90.00, 102.82, 90.00 degrees
Space group C2/c (No. 15)
Asymmetric unit:
K (0.1462, 0.1469, 0.1391) (multiplicity 8)
Hg (0.0000, 0.3884, 0.7500) (multiplicity 4)
Au (0.1422, 0.3457, 0.5097) (multiplicity 8)

---

Starting from a GGA-PBE-relaxed structure, the powder XRD pattern of K3Hg3Au2 was simulated for λ = 1.5418 Å (Cu Kα).

The 10 most intense peaks (2θ from 5° to 70°), by angle:
10.28°, d 8.604, rel. 48, hkl 0 0 2; 14.81°, d 5.982, rel. 83, hkl 0 2 0; 20.16°, d 4.404, rel. 80, hkl 1 1 1; 21.46°, d 4.140, rel. 92, hkl 0 2 3; 28.54°, d 3.128, rel. 90, hkl 1 1 4; 32.84°, d 2.727, rel. 83, hkl 1 3 3; 35.70°, d 2.515, rel. 100, hkl 1 3 4; 36.48°, d 2.463, rel. 70, hkl 2 0 0; 36.59°, d 2.456, rel. 49, hkl 0 4 4; 41.75°, d 2.163, rel. 93, hkl 1 1 7

Atomic structure:
Cell lengths 4.9266, 11.9635, 17.2084 Å; angles 90.00, 90.00, 90.00 degrees
Space group Cmcm (No. 63)
Asymmetric unit:
K (0.0000, 0.0752, 0.1045) (multiplicity 8)
K (0.0000, 0.3610, 0.2500) (multiplicity 4)
Hg (0.0000, 0.3493, 0.7500) (multiplicity 4)
Hg (0.0000, 0.3671, 0.0345) (multiplicity 8)
Au (0.0000, 0.2151, 0.6102) (multiplicity 8)

---

Starting from a GGA-PBE-relaxed structure, the powder XRD pattern of K2Hg15Au2 was simulated for λ = 1.5418 Å (Cu Kα).

The 10 most intense peaks (2θ from 5° to 70°), by angle:
15.03°, d 5.894, rel. 43, hkl 0 1 1; 28.60°, d 3.121, rel. 43, hkl -2 1 1; 29.08°, d 3.070, rel. 50, hkl 2 2 0; 30.87°, d 2.897, rel. 50, hkl 2 2 1; 31.02°, d 2.883, rel. 52, hkl 2 2 -1; 33.30°, d 2.691, rel. 83, hkl 0 1 3; 33.52°, d 2.674, rel. 88, hkl 1 -2 2; 34.58°, d 2.594, rel. 55, hkl 1 1 3; 34.74°, d 2.583, rel. 100, hkl 0 3 1; 35.54°, d 2.526, rel. 71, hkl 3 0 1

Atomic structure:
Cell lengths 7.9906, 8.2231, 8.5544 Å; angles 89.89, 89.45, 81.46 degrees
Space group P-1 (No. 2)
Asymmetric unit:
K (0.1918, 0.1996, 0.2959) (multiplicity 2)
Hg (0.0000, 0.5000, 0.0000) (multiplicity 1)
Hg (0.0729, 0.0767, 0.8600) (multiplicity 2)
Hg (0.1399, 0.4606, 0.6391) (multiplicity 2)
Hg (0.1526, 0.7819, 0.4123) (multiplicity 2)
Hg (0.3284, 0.7601, 0.7666) (multiplicity 2)
Hg (0.3521, 0.5990, 0.1280) (multiplicity 2)
Hg (0.4566, 0.1311, 0.6359) (multiplicity 2)
Hg (0.5000, 0.0000, 0.0000) (multiplicity 1)
Hg (0.5000, 0.5000, 0.5000) (multiplicity 1)
Au (0.3098, 0.3062, 0.9321) (multiplicity 2)

---

What did the twelfth record say?
Starting from a GGA-PBE-relaxed structure, the powder XRD pattern of K2Hg15Au2 was simulated for λ = 1.5418 Å (Cu Kα).

The 10 most intense peaks (2θ from 5° to 70°), by angle:
15.03°, d 5.894, rel. 43, hkl 0 1 1; 28.60°, d 3.121, rel. 43, hkl -2 1 1; 29.08°, d 3.070, rel. 50, hkl 2 2 0; 30.87°, d 2.897, rel. 50, hkl 2 2 1; 31.02°, d 2.883, rel. 52, hkl 2 2 -1; 33.30°, d 2.691, rel. 83, hkl 0 1 3; 33.52°, d 2.674, rel. 88, hkl 1 -2 2; 34.58°, d 2.594, rel. 55, hkl 1 1 3; 34.74°, d 2.583, rel. 100, hkl 0 3 1; 35.54°, d 2.526, rel. 71, hkl 3 0 1

Atomic structure:
Cell lengths 7.9906, 8.2231, 8.5544 Å; angles 89.89, 89.45, 81.46 degrees
Space group P-1 (No. 2)
Asymmetric unit:
K (0.1918, 0.1996, 0.2959) (multiplicity 2)
Hg (0.0000, 0.5000, 0.0000) (multiplicity 1)
Hg (0.0729, 0.0767, 0.8600) (multiplicity 2)
Hg (0.1399, 0.4606, 0.6391) (multiplicity 2)
Hg (0.1526, 0.7819, 0.4123) (multiplicity 2)
Hg (0.3284, 0.7601, 0.7666) (multiplicity 2)
Hg (0.3521, 0.5990, 0.1280) (multiplicity 2)
Hg (0.4566, 0.1311, 0.6359) (multiplicity 2)
Hg (0.5000, 0.0000, 0.0000) (multiplicity 1)
Hg (0.5000, 0.5000, 0.5000) (multiplicity 1)
Au (0.3098, 0.3062, 0.9321) (multiplicity 2)